[1]
W2O5: simulated XRD peak list (λ = 1.5418 Å (Cu Kα)), based on a structure optimized by DFT (GGA+U).
Neutral-atom scattering factors, no anomalous dispersion.

Atomic structure:
abc: 4.034 12.913 3.868
angles: 90.00 90.00 90.00
Space group Pmmn (No. 59, origin choice 2)
Unique sites:
W: 0.250 0.099 0.017 (multiplicity 4)
O: 0.250 0.096 0.509 (multiplicity 4)
O: 0.250 0.250 0.015 (multiplicity 2)
O: 0.250 0.567 0.006 (multiplicity 4)

Principal peaks in the range 15° ≤ 2θ ≤ 90°, low angle first:
| Position (°2θ) | d (Å) | intensity | index |
| --- | --- | --- | --- |
| 23.0 | 3.868 | 100 | 0 0 1 |
| 23.1 | 3.851 | 76 | 1 1 0 |
| 27.6 | 3.228 | 40 | 0 4 0 |
| 30.4 | 2.943 | 76 | 1 3 0 |
| 32.8 | 2.729 | 43 | 1 1 1 |
| 36.2 | 2.478 | 27 | 0 4 1 |
| 38.4 | 2.342 | 53 | 1 3 1 |
| 57.0 | 1.616 | 26 | 1 3 2 |

=====

[2]
W2O3: simulated XRD peak list (λ = 1.5418 Å (Cu Kα)), based on a structure optimized by DFT (GGA+U).
Neutral-atom scattering factors, no anomalous dispersion.

Atomic structure:
abc: 3.431 9.918 15.798
angles: 90.00 90.00 90.00
Space group Cmcm (No. 63)
Unique sites:
W: 0.000 0.096 0.132 (multiplicity 8)
W: 0.000 0.336 0.035 (multiplicity 8)
O: 0.000 0.000 0.000 (multiplicity 4)
O: 0.000 0.155 0.250 (multiplicity 4)
O: 0.000 0.260 0.599 (multiplicity 8)
O: 0.000 0.472 0.135 (multiplicity 8)

Principal peaks in the range 15° ≤ 2θ ≤ 90°, low angle first:
| Position (°2θ) | d (Å) | intensity | index |
| --- | --- | --- | --- |
| 18.8 | 4.731 | 52 | 0 2 1 |
| 28.1 | 3.176 | 51 | 1 1 1 |
| 32.4 | 2.761 | 56 | 1 1 3 |
| 33.6 | 2.665 | 100 | 0 2 5 |
| 35.8 | 2.506 | 73 | 1 1 4 |
| 38.2 | 2.354 | 43 | 1 3 1 |
| 39.5 | 2.279 | 61 | 1 3 2 |
| 53.4 | 1.716 | 56 | 2 0 0 |